(1)
Diffraction record for Tb2Ni7Ge. The powder X-ray diffraction pattern is calculated, not measured: it uses a DFT-relaxed cell (GGA-PBE, Alexandria) and Cu Ka.
Kinematic intensities with the Lorentz-polarization factor, no thermal factor.

Largest 12 diffraction maxima, by angle, 2θ = 5–70°:
d = 3.584 Å, 24.85°, rel. 9.3
d = 2.703 Å, 33.15°, rel. 16.7
d = 2.576 Å, 34.82°, rel. 8.0
d = 2.555 Å, 35.12°, rel. 58.6
d = 2.393 Å, 37.58°, rel. 100.0
d = 1.911 Å, 47.58°, rel. 46.1
d = 1.865 Å, 48.84°, rel. 5.5
d = 1.814 Å, 50.30°, rel. 30.3
d = 1.535 Å, 60.30°, rel. 6.7
d = 1.530 Å, 60.50°, rel. 23.7
d = 1.450 Å, 64.26°, rel. 8.9
d = 1.351 Å, 69.57°, rel. 14.0

Structural model:
a = 3.822 Å, b = 3.822 Å, c = 10.306 Å
α = 90.00°, β = 90.00°, γ = 90.00°
Positions (direct):
Tb: 0.000 0.500 0.236
Tb: 0.500 0.000 0.764
Ni: 0.000 0.000 0.000
Ni: 0.000 0.500 0.638
Ni: 0.000 0.500 0.861
Ni: 0.500 0.000 0.139
Ni: 0.500 0.000 0.362
Ni: 0.500 0.500 0.000
Ni: 0.500 0.500 0.500
Ge: 0.000 0.000 0.500


(2)
Diffraction record for AcCd4Hg3. The powder X-ray diffraction pattern is calculated, not measured: it uses a DFT-relaxed cell (GGA-PBE, Alexandria) and Cu Ka.
Kinematic intensities with the Lorentz-polarization factor, no thermal factor.

Largest 12 diffraction maxima, by angle, 2θ = 5–70°:
d = 4.236 Å, 20.97°, rel. 27.1
d = 3.366 Å, 26.48°, rel. 85.9
d = 3.152 Å, 28.31°, rel. 58.1
d = 2.741 Å, 32.68°, rel. 66.1
d = 2.649 Å, 33.83°, rel. 25.6
d = 2.360 Å, 38.13°, rel. 100.0
d = 2.310 Å, 38.99°, rel. 73.4
d = 2.140 Å, 42.23°, rel. 54.5
d = 1.932 Å, 47.03°, rel. 37.5
d = 1.669 Å, 55.03°, rel. 34.4
d = 1.585 Å, 58.20°, rel. 43.1
d = 1.353 Å, 69.49°, rel. 26.0

Structural model:
a = 4.720 Å, b = 4.720 Å, c = 9.604 Å
α = 90.00°, β = 90.00°, γ = 90.00°
Positions (direct):
Ac: 0.000 0.000 0.000
Cd: 0.000 0.500 0.323
Cd: 0.000 0.500 0.677
Cd: 0.500 0.000 0.323
Cd: 0.500 0.000 0.677
Hg: 0.000 0.000 0.500
Hg: 0.500 0.500 0.146
Hg: 0.500 0.500 0.854


(3)
Diffraction record for Na3Tl3AsO8. The powder X-ray diffraction pattern is calculated, not measured: it uses a DFT-relaxed cell (GGA-PBE, Alexandria) and Cu Ka.
Kinematic intensities with the Lorentz-polarization factor, no thermal factor.

Largest 12 diffraction maxima, by angle, 2θ = 5–70°:
d = 5.605 Å, 15.81°, rel. 100.0
d = 2.872 Å, 31.14°, rel. 50.0
d = 2.802 Å, 31.94°, rel. 18.1
d = 2.754 Å, 32.51°, rel. 51.1
d = 2.395 Å, 37.55°, rel. 63.9
d = 2.202 Å, 40.98°, rel. 20.6
d = 1.854 Å, 49.15°, rel. 18.3
d = 1.705 Å, 53.77°, rel. 20.7
d = 1.683 Å, 54.53°, rel. 20.3
d = 1.612 Å, 57.15°, rel. 21.0
d = 1.443 Å, 64.60°, rel. 17.1
d = 1.377 Å, 68.10°, rel. 9.7

Structural model:
a = 6.820 Å, b = 6.820 Å, c = 6.820 Å
α = 59.14°, β = 59.14°, γ = 59.14°
Positions (direct):
Na: 0.000 0.500 0.500
Na: 0.500 0.000 0.500
Na: 0.500 0.500 0.000
Tl: 0.000 0.000 0.500
Tl: 0.000 0.500 0.000
Tl: 0.500 0.000 0.000
As: 0.500 0.500 0.500
O: 0.239 0.239 0.239
O: 0.296 0.700 0.700
O: 0.300 0.300 0.704
O: 0.300 0.704 0.300
O: 0.700 0.296 0.700
O: 0.700 0.700 0.296
O: 0.704 0.300 0.300
O: 0.761 0.761 0.761


(4)
Diffraction record for PaB2O8. The powder X-ray diffraction pattern is calculated, not measured: it uses a DFT-relaxed cell (GGA-PBE, Alexandria) and Cu Ka.
Kinematic intensities with the Lorentz-polarization factor, no thermal factor.

Largest 12 diffraction maxima, by angle, 2θ = 5–70°:
d = 5.743 Å, 15.43°, rel. 36.0
d = 4.829 Å, 18.37°, rel. 57.9
d = 3.696 Å, 24.08°, rel. 100.0
d = 2.788 Å, 32.10°, rel. 24.1
d = 2.508 Å, 35.80°, rel. 19.5
d = 2.468 Å, 36.40°, rel. 26.8
d = 2.226 Å, 40.53°, rel. 23.5
d = 2.000 Å, 45.33°, rel. 20.8
d = 1.848 Å, 49.31°, rel. 15.5
d = 1.825 Å, 49.97°, rel. 13.8
d = 1.780 Å, 51.34°, rel. 12.3
d = 1.740 Å, 52.61°, rel. 25.5

Structural model:
a = 5.576 Å, b = 5.576 Å, c = 5.743 Å
α = 90.00°, β = 90.00°, γ = 120.00°
Positions (direct):
Pa: 0.000 0.000 0.000
B: 0.333 0.667 0.732
B: 0.667 0.333 0.268
O: 0.190 0.379 0.800
O: 0.190 0.810 0.800
O: 0.333 0.667 0.477
O: 0.379 0.190 0.200
O: 0.621 0.810 0.800
O: 0.667 0.333 0.523
O: 0.810 0.190 0.200
O: 0.810 0.621 0.200


(5)
Diffraction record for YTm5Ni2. The powder X-ray diffraction pattern is calculated, not measured: it uses a DFT-relaxed cell (GGA-PBE, Alexandria) and Cu Ka.
Kinematic intensities with the Lorentz-polarization factor, no thermal factor.

Largest 12 diffraction maxima, by angle, 2θ = 5–70°:
d = 3.045 Å, 29.33°, rel. 22.3
d = 3.029 Å, 29.49°, rel. 53.7
d = 2.963 Å, 30.16°, rel. 22.4
d = 2.795 Å, 32.02°, rel. 100.0
d = 2.481 Å, 36.20°, rel. 27.8
d = 2.429 Å, 37.01°, rel. 41.1
d = 2.311 Å, 38.97°, rel. 22.3
d = 2.255 Å, 39.98°, rel. 11.9
d = 1.899 Å, 47.91°, rel. 11.8
d = 1.736 Å, 52.74°, rel. 18.8
d = 1.493 Å, 62.16°, rel. 12.0
d = 1.463 Å, 63.58°, rel. 27.8

Structural model:
a = 6.299 Å, b = 6.299 Å, c = 14.300 Å
α = 90.00°, β = 90.00°, γ = 134.63°
Positions (direct):
Y: 0.123 0.877 0.750
Y: 0.877 0.123 0.250
Tm: 0.155 0.845 0.520
Tm: 0.155 0.845 0.980
Tm: 0.175 0.825 0.250
Tm: 0.452 0.548 0.621
Tm: 0.452 0.548 0.879
Tm: 0.548 0.452 0.121
Tm: 0.548 0.452 0.379
Tm: 0.825 0.175 0.750
Tm: 0.845 0.155 0.020
Tm: 0.845 0.155 0.480
Ni: 0.323 0.677 0.107
Ni: 0.323 0.677 0.393
Ni: 0.677 0.323 0.607
Ni: 0.677 0.323 0.893